Entry 1:
Calculated X-ray diffraction stick pattern
Compound: CaGa4W2O12
Radiation: CuKα
Structure: a crystal structure in the Materials Project, relaxed with GGA+U

Most intense lines, 10° ≤ 2θ ≤ 90°, low angle first:
17.0°, d 5.213, I 35, hkl 0 1 0; 20.9°, d 4.253, I 100, hkl 1 1 0; 24.1°, d 3.688, I 22, hkl 1 1 -1; 27.8°, d 3.205, I 61, hkl 1 -1 0; 33.7°, d 2.661, I 55, hkl 1 0 3; 34.1°, d 2.629, I 21, hkl 1 2 0; 34.7°, d 2.588, I 22, hkl 1 1 3; 36.1°, d 2.488, I 20, hkl 1 0 -3; 38.7°, d 2.329, I 23, hkl 1 1 -3; 53.1°, d 1.726, I 23, hkl 2 -1 3

Cell and atoms:
```
data_CaGa4W2O12
_chemical_formula_sum 'Ca1 Ga4 W2 O12'
_space_group_name_H-M_alt 'P 1'
_space_group_IT_number 1
_space_group_name_Hall 'P 1'
_cell_length_a 5.259
_cell_length_b 5.440
_cell_length_c 9.028
_cell_angle_alpha 85.38
_cell_angle_beta 84.47
_cell_angle_gamma 73.66
loop_
_atom_site_label
_atom_site_type_symbol
_atom_site_fract_x
_atom_site_fract_y
_atom_site_fract_z
Ca1 Ca 0.000 0.000 0.000
Ga1 Ga 0.116 0.356 0.485
Ga2 Ga 0.175 0.381 0.156
Ga3 Ga 0.581 0.725 0.993
Ga4 Ga 0.588 0.850 0.681
W1 W 0.126 0.459 0.807
W2 W 0.540 0.773 0.333
O1 O 0.263 0.125 0.323
O2 O 0.315 0.177 0.665
O3 O 0.324 0.664 0.153
O4 O 0.328 0.600 0.452
O5 O 0.343 0.206 0.977
O6 O 0.368 0.702 0.835
O7 O 0.676 0.911 0.476
O8 O 0.686 0.895 0.151
O9 O 0.823 0.842 0.829
O10 O 0.864 0.489 0.322
O11 O 0.867 0.492 0.647
O12 O 0.883 0.439 0.008
```

=====

Entry 2:
Calculated X-ray diffraction stick pattern
Compound: CaGa4W2O12
Radiation: CuKα
Structure: a crystal structure in the Materials Project, relaxed with GGA+U

Most intense lines, 10° ≤ 2θ ≤ 90°, low angle first:
20.7°, d 4.287, I 37, hkl 1 0 1; 26.0°, d 3.426, I 100, hkl 1 1 0; 32.6°, d 2.748, I 22, hkl 1 1 2; 34.6°, d 2.592, I 79, hkl 1 0 3; 37.1°, d 2.422, I 30, hkl 2 0 0; 51.6°, d 1.770, I 72, hkl 2 1 3; 53.5°, d 1.713, I 21, hkl 2 2 0; 60.4°, d 1.533, I 22, hkl 0 0 6; 65.3°, d 1.429, I 22, hkl 3 0 3; 66.8°, d 1.400, I 15, hkl 1 1 6

Cell and atoms:
```
data_CaGa4W2O12
_chemical_formula_sum 'Ca1 Ga4 W2 O12'
_space_group_name_H-M_alt 'P -4'
_space_group_IT_number 81
_space_group_name_Hall 'P -4'
_cell_length_a 4.845
_cell_length_b 4.845
_cell_length_c 9.205
_cell_angle_alpha 90.00
_cell_angle_beta 90.00
_cell_angle_gamma 90.00
loop_
_atom_site_label
_atom_site_type_symbol
_atom_site_fract_x
_atom_site_fract_y
_atom_site_fract_z
Ca1 Ca 0.000 0.000 0.000
Ga1 Ga 0.000 0.500 0.581
Ga2 Ga 0.000 0.500 0.897
W1 W 0.000 0.500 0.258
O1 O 0.182 0.277 0.753
O2 O 0.198 0.312 0.418
O3 O 0.215 0.335 0.088
```

=====

Entry 3:
Calculated X-ray diffraction stick pattern
Compound: KCaGdWO6
Radiation: CuKα
Structure: a crystal structure in the Materials Project, relaxed with GGA+U

Most intense lines, 10° ≤ 2θ ≤ 90°, low angle first:
21.1°, d 4.207, I 65, hkl 2 0 0; 30.0°, d 2.975, I 100, hkl 2 2 0; 43.0°, d 2.103, I 32, hkl 4 0 0; 48.4°, d 1.881, I 29, hkl 4 2 0; 53.3°, d 1.717, I 40, hkl 4 2 2; 62.4°, d 1.487, I 20, hkl 4 4 0; 66.7°, d 1.402, I 14, hkl 6 0 0; 70.8°, d 1.330, I 18, hkl 6 2 0; 82.7°, d 1.167, I 6, hkl 6 4 0; 86.6°, d 1.124, I 21, hkl 6 4 2

Cell and atoms:
```
data_KCaGdWO6
_chemical_formula_sum 'K4 Ca4 Gd4 W4 O24'
_space_group_name_H-M_alt 'F -4 3 m'
_space_group_IT_number 216
_space_group_name_Hall 'F -4 2 3'
_cell_length_a 8.413
_cell_length_b 8.413
_cell_length_c 8.413
_cell_angle_alpha 90.00
_cell_angle_beta 90.00
_cell_angle_gamma 90.00
loop_
_atom_site_label
_atom_site_type_symbol
_atom_site_fract_x
_atom_site_fract_y
_atom_site_fract_z
K1 K 0.000 0.000 0.000
Ca1 Ca 0.000 0.000 0.500
Gd1 Gd 0.250 0.250 0.250
W1 W 0.250 0.250 0.750
O1 O 0.018 0.250 0.750
```

=====

Entry 4:
Calculated X-ray diffraction stick pattern
Compound: Ca5Gd3Ti5Mn3O24
Radiation: CuKα
Structure: a crystal structure in the Materials Project, relaxed with GGA+U

Most intense lines, 10° ≤ 2θ ≤ 90°, low angle first:
31.7°, d 2.820, I 43, hkl 0 2 0; 32.7°, d 2.743, I 100, hkl 1 -1 4; 32.9°, d 2.723, I 99, hkl 1 1 -4; 33.1°, d 2.707, I 48, hkl 2 0 0; 46.1°, d 1.968, I 27, hkl 2 -2 0; 46.9°, d 1.939, I 26, hkl 2 2 0; 47.6°, d 1.912, I 35, hkl 0 0 8; 58.7°, d 1.574, I 24, hkl 3 -1 4; 59.1°, d 1.563, I 23, hkl 3 1 -4; 59.2°, d 1.561, I 25, hkl 3 1 4

Cell and atoms:
```
data_Ca5Gd3Ti5Mn3O24
_chemical_formula_sum 'Ca5 Gd3 Ti5 Mn3 O24'
_space_group_name_H-M_alt 'P 1'
_space_group_IT_number 1
_space_group_name_Hall 'P 1'
_cell_length_a 5.415
_cell_length_b 5.641
_cell_length_c 15.297
_cell_angle_alpha 90.12
_cell_angle_beta 90.09
_cell_angle_gamma 90.85
loop_
_atom_site_label
_atom_site_type_symbol
_atom_site_fract_x
_atom_site_fract_y
_atom_site_fract_z
Ca1 Ca 0.000 0.000 0.000
Ca2 Ca 0.000 0.008 0.503
Ca3 Ca 0.481 0.502 0.999
Ca4 Ca 0.496 0.403 0.248
Ca5 Ca 0.979 0.907 0.248
Gd1 Gd 0.473 0.518 0.504
Gd2 Gd 0.500 0.382 0.751
Gd3 Gd 0.967 0.882 0.751
Ti1 Ti 0.005 0.450 0.124
Ti2 Ti 0.490 0.975 0.377
Ti3 Ti 0.503 0.942 0.126
Ti4 Ti 0.976 0.469 0.376
Ti5 Ti 0.993 0.448 0.879
Mn1 Mn 0.482 0.946 0.877
Mn2 Mn 0.484 0.951 0.626
Mn3 Mn 0.988 0.446 0.626
O1 O 0.066 0.474 0.251
O2 O 0.086 0.477 0.751
O3 O 0.180 0.748 0.898
O4 O 0.189 0.741 0.105
O5 O 0.197 0.733 0.401
O6 O 0.201 0.764 0.601
O7 O 0.271 0.248 0.105
O8 O 0.276 0.266 0.897
O9 O 0.283 0.271 0.603
O10 O 0.290 0.242 0.400
O11 O 0.381 0.976 0.755
O12 O 0.403 0.972 0.252
O13 O 0.567 0.926 0.001
O14 O 0.580 0.921 0.498
O15 O 0.691 0.668 0.148
O16 O 0.695 0.651 0.356
O17 O 0.697 0.630 0.650
O18 O 0.700 0.638 0.847
O19 O 0.769 0.163 0.148
O20 O 0.771 0.132 0.655
O21 O 0.781 0.155 0.353
O22 O 0.782 0.150 0.850
O23 O 0.891 0.420 0.499
O24 O 0.899 0.424 0.002
```

=====

Copy entry 4 word for word.
Calculated X-ray diffraction stick pattern
Compound: Ca5Gd3Ti5Mn3O24
Radiation: CuKα
Structure: a crystal structure in the Materials Project, relaxed with GGA+U

Most intense lines, 10° ≤ 2θ ≤ 90°, low angle first:
31.7°, d 2.820, I 43, hkl 0 2 0; 32.7°, d 2.743, I 100, hkl 1 -1 4; 32.9°, d 2.723, I 99, hkl 1 1 -4; 33.1°, d 2.707, I 48, hkl 2 0 0; 46.1°, d 1.968, I 27, hkl 2 -2 0; 46.9°, d 1.939, I 26, hkl 2 2 0; 47.6°, d 1.912, I 35, hkl 0 0 8; 58.7°, d 1.574, I 24, hkl 3 -1 4; 59.1°, d 1.563, I 23, hkl 3 1 -4; 59.2°, d 1.561, I 25, hkl 3 1 4

Cell and atoms:
```
data_Ca5Gd3Ti5Mn3O24
_chemical_formula_sum 'Ca5 Gd3 Ti5 Mn3 O24'
_space_group_name_H-M_alt 'P 1'
_space_group_IT_number 1
_space_group_name_Hall 'P 1'
_cell_length_a 5.415
_cell_length_b 5.641
_cell_length_c 15.297
_cell_angle_alpha 90.12
_cell_angle_beta 90.09
_cell_angle_gamma 90.85
loop_
_atom_site_label
_atom_site_type_symbol
_atom_site_fract_x
_atom_site_fract_y
_atom_site_fract_z
Ca1 Ca 0.000 0.000 0.000
Ca2 Ca 0.000 0.008 0.503
Ca3 Ca 0.481 0.502 0.999
Ca4 Ca 0.496 0.403 0.248
Ca5 Ca 0.979 0.907 0.248
Gd1 Gd 0.473 0.518 0.504
Gd2 Gd 0.500 0.382 0.751
Gd3 Gd 0.967 0.882 0.751
Ti1 Ti 0.005 0.450 0.124
Ti2 Ti 0.490 0.975 0.377
Ti3 Ti 0.503 0.942 0.126
Ti4 Ti 0.976 0.469 0.376
Ti5 Ti 0.993 0.448 0.879
Mn1 Mn 0.482 0.946 0.877
Mn2 Mn 0.484 0.951 0.626
Mn3 Mn 0.988 0.446 0.626
O1 O 0.066 0.474 0.251
O2 O 0.086 0.477 0.751
O3 O 0.180 0.748 0.898
O4 O 0.189 0.741 0.105
O5 O 0.197 0.733 0.401
O6 O 0.201 0.764 0.601
O7 O 0.271 0.248 0.105
O8 O 0.276 0.266 0.897
O9 O 0.283 0.271 0.603
O10 O 0.290 0.242 0.400
O11 O 0.381 0.976 0.755
O12 O 0.403 0.972 0.252
O13 O 0.567 0.926 0.001
O14 O 0.580 0.921 0.498
O15 O 0.691 0.668 0.148
O16 O 0.695 0.651 0.356
O17 O 0.697 0.630 0.650
O18 O 0.700 0.638 0.847
O19 O 0.769 0.163 0.148
O20 O 0.771 0.132 0.655
O21 O 0.781 0.155 0.353
O22 O 0.782 0.150 0.850
O23 O 0.891 0.420 0.499
O24 O 0.899 0.424 0.002
```